Structure and theoretical powder X-ray diffraction pattern of HoMgCo2O6 (DFT lattice parameters and positions (GGA+U); a wavelength of 1.5418 Å).
Peak positions follow from Bragg's law for the DFT cell and can differ from measured ones.

Structural model:
Cell: 5.115 5.420 8.934 Å, 90.00 124.78 90.00°
Fractional coordinates of all 20 atoms:
Ho  0.000  0.178  0.000
Ho  0.000  0.822  0.500
Mg  0.460  0.316  0.503
Mg  0.460  0.684  0.003
Co  0.231  0.254  0.750
Co  0.231  0.746  0.250
Co  0.732  0.261  0.253
Co  0.732  0.739  0.753
O  0.111  0.057  0.309
O  0.111  0.943  0.809
O  0.359  0.463  0.186
O  0.359  0.537  0.686
O  0.480  0.066  0.694
O  0.480  0.934  0.194
O  0.580  0.300  0.997
O  0.580  0.700  0.497
O  0.855  0.219  0.502
O  0.855  0.781  0.002
O  0.993  0.446  0.806
O  0.993  0.554  0.306

Most intense lines, 10° ≤ 2θ ≤ 90°, by angle:
hkl	Position (°2θ)	I (rel.)
0 1 1	20.37	377
1 0 -2	21.17	445
1 1 -2	26.87	171
0 2 0	33.05	191
1 1 1	34.33	1000
2 0 -2	35.09	233
2 1 -1	40.90	279
2 2 -2	48.97	196
0 0 4	49.70	149
1 3 -2	55.36	180
3 1 -1	62.39	170
3 1 -5	62.53	117